[1]
Structure and theoretical PXRD pattern of PmNd2Sm6 (a DFT-relaxed cell (GGA-PBE, Alexandria); copper Kα).
Intensities are scaled so that the largest is 100.

The 8 most intense peaks (10° ≤ 2θ ≤ 90°), low angle first:
2theta, I/Imax
30.96, 100
31.05, 55
44.36, 18
44.45, 9
55.14, 30
55.26, 10
61.42, 12
61.49, 13

Atomic structure:
abc: 9.9970 9.9970 3.5412
angles: 90.09 90.09 59.81
Atoms (fractional coordinates):
1 Pm 0.0000 0.0000 0.0000
2 Nd 0.3333 0.3333 0.0000
3 Nd 0.6667 0.6667 0.0000
4 Sm 0.9996 0.3332 0.5001
5 Sm 0.0004 0.6668 0.4999
6 Sm 0.3332 0.9996 0.5001
7 Sm 0.3327 0.6673 0.5000
8 Sm 0.6668 0.0004 0.4999
9 Sm 0.6673 0.3327 0.5000


[2]
Structure and theoretical PXRD pattern of Pm7Nd4Sm (a DFT-relaxed cell (GGA-PBE, Alexandria); copper Kα).
Intensities are scaled so that the largest is 100.

The 8 most intense peaks (10° ≤ 2θ ≤ 90°), low angle first:
2theta, I/Imax
28.17, 36
30.19, 50
31.08, 100
32.69, 28
32.73, 57
49.48, 38
53.11, 23
59.10, 30

Atomic structure:
abc: 6.3849 7.3629 9.1361
angles: 89.94 76.42 89.92
Atoms (fractional coordinates):
1 Pm 0.0000 0.0000 0.0000
2 Pm 0.2204 0.5000 0.3316
3 Pm 0.2789 0.2508 0.6688
4 Pm 0.4999 0.2508 0.9998
5 Pm 0.5001 0.7492 0.0002
6 Pm 0.7211 0.7492 0.3312
7 Pm 0.7796 0.5000 0.6684
8 Nd 0.2214 0.0000 0.3317
9 Nd 0.2793 0.7492 0.6683
10 Nd 0.7207 0.2508 0.3317
11 Nd 0.7786 0.0000 0.6683
12 Sm 0.0000 0.5000 0.0000